[1]
Starting from a structure optimized by DFT (GGA-PBE), the X-ray diffraction stick pattern of Pm6AsC2 was computed for Cu Kα (weighted mean of Kα1 and Kα2).
Neutral-atom scattering factors, no anomalous dispersion.

Largest 10 diffraction maxima, sorted by position, 15° ≤ 2θ ≤ 90°:
Position (°2θ), I_rel
27.3, 73
27.5, 15
27.7, 13
28.8, 13
30.3, 100
35.6, 38
36.6, 25
40.7, 29
52.0, 18
58.7, 13

Cell and atoms:
Cell lengths 7.0983, 7.0983, 8.9126 Å; angles 122.24, 122.24, 41.59 degrees
Atoms (fractional coordinates):
Pm: 0.0321 0.0321 0.2044
Pm: 0.3019 0.3019 0.9310
Pm: 0.3456 0.3456 0.4125
Pm: 0.6544 0.6544 0.5875
Pm: 0.6981 0.6981 0.0690
Pm: 0.9679 0.9679 0.7956
As: 0.0000 0.0000 0.5000
C: 0.1762 0.1762 0.0904
C: 0.8238 0.8238 0.9096

***

[2]
Starting from a structure optimized by DFT (GGA-PBE), the X-ray diffraction stick pattern of Pm6AsC2S3 was computed for Cu Kα (weighted mean of Kα1 and Kα2).
Neutral-atom scattering factors, no anomalous dispersion.

Largest 10 diffraction maxima, sorted by position, 15° ≤ 2θ ≤ 90°:
Position (°2θ), I_rel
27.0, 18
27.2, 18
27.6, 39
31.7, 100
44.8, 12
45.3, 22
45.6, 22
46.0, 13
56.9, 12
66.1, 7

Cell and atoms:
Cell lengths 8.9430, 8.9430, 8.0937 Å; angles 103.61, 103.61, 25.51 degrees
Atoms (fractional coordinates):
Pm: 0.0142 0.0142 0.2614
Pm: 0.3244 0.3244 0.4341
Pm: 0.3291 0.3291 0.8850
Pm: 0.6709 0.6709 0.1150
Pm: 0.6756 0.6756 0.5659
Pm: 0.9858 0.9858 0.7386
As: 0.5000 0.5000 0.0000
C: 0.1696 0.1696 0.3372
C: 0.8304 0.8304 0.6628
S: 0.1633 0.1633 0.8324
S: 0.5000 0.5000 0.5000
S: 0.8367 0.8367 0.1676

***

[3]
Starting from a structure optimized by DFT (GGA-PBE), the X-ray diffraction stick pattern of Th2AsRh6C was computed for Cu Kα (weighted mean of Kα1 and Kα2).
Neutral-atom scattering factors, no anomalous dispersion.

Largest 10 diffraction maxima, sorted by position, 15° ≤ 2θ ≤ 90°:
Position (°2θ), I_rel
27.7, 10
28.5, 20
34.8, 100
39.6, 50
41.8, 19
57.3, 17
59.0, 28
68.8, 28
71.8, 9
73.4, 14

Cell and atoms:
Cell lengths 4.5490, 4.5490, 8.6445 Å; angles 90.00, 90.00, 90.00 degrees
Atoms (fractional coordinates):
Th: 0.0000 0.0000 0.2452
Th: 0.0000 0.0000 0.7548
As: 0.5000 0.5000 0.5000
Rh: 0.0000 0.5000 0.0000
Rh: 0.0000 0.5000 0.5000
Rh: 0.5000 0.0000 0.0000
Rh: 0.5000 0.0000 0.5000
Rh: 0.5000 0.5000 0.2186
Rh: 0.5000 0.5000 0.7814
C: 0.5000 0.5000 0.0000

***

Question: What is the formula in the second record?
Answer: Pm6AsC2S3

***

Please write out number 2 again, unchanged.
Starting from a structure optimized by DFT (GGA-PBE), the X-ray diffraction stick pattern of Pm6AsC2S3 was computed for Cu Kα (weighted mean of Kα1 and Kα2).
Neutral-atom scattering factors, no anomalous dispersion.

Largest 10 diffraction maxima, sorted by position, 15° ≤ 2θ ≤ 90°:
Position (°2θ), I_rel
27.0, 18
27.2, 18
27.6, 39
31.7, 100
44.8, 12
45.3, 22
45.6, 22
46.0, 13
56.9, 12
66.1, 7

Cell and atoms:
Cell lengths 8.9430, 8.9430, 8.0937 Å; angles 103.61, 103.61, 25.51 degrees
Atoms (fractional coordinates):
Pm: 0.0142 0.0142 0.2614
Pm: 0.3244 0.3244 0.4341
Pm: 0.3291 0.3291 0.8850
Pm: 0.6709 0.6709 0.1150
Pm: 0.6756 0.6756 0.5659
Pm: 0.9858 0.9858 0.7386
As: 0.5000 0.5000 0.0000
C: 0.1696 0.1696 0.3372
C: 0.8304 0.8304 0.6628
S: 0.1633 0.1633 0.8324
S: 0.5000 0.5000 0.5000
S: 0.8367 0.8367 0.1676